# 1
# YCo3
Theoretical PXRD pattern, Cu Kα (weighted mean of Kα1 and Kα2). Input: a crystal structure in the Materials Project, relaxed with PBE.

Most intense lines, 10 to 80 degrees two-theta, low angle first:
- 34.74°, intensity 48, (1 0 5)
- 36.05°, intensity 37, (1 1 0)
- 42.26°, intensity 37, (2 0 1)
- 42.66°, intensity 100, (1 1 4)
- 44.99°, intensity 18, (0 0 8)
- 45.29°, intensity 30, (2 0 3)
- 69.39°, intensity 28, (3 0 4)
- 76.46°, intensity 22, (2 2 0)

Cell and atoms:
Cell: 4.9832 4.9832 16.1180 Å, 90.00 90.00 120.00°
Space group P6_3/mmc (No. 194)
Inequivalent atoms, fractional coordinates:
Y1 0.3333 0.6667 0.0402
Y2 0.3333 0.6667 0.2500
Co1 0.0000 0.0000 0.0000
Co2 0.0000 0.0000 0.2500
Co3 0.1662 0.3324 0.6283
Co4 0.3333 0.6667 0.7500

# 2
# YCo5
Theoretical PXRD pattern, Cu Kα (weighted mean of Kα1 and Kα2). Input: a crystal structure in the Materials Project, relaxed with PBE.

Most intense lines, 10 to 80 degrees two-theta, low angle first:
- 30.80°, intensity 28, (1 0 1)
- 36.47°, intensity 25, (1 1 0)
- 42.36°, intensity 32, (2 0 0)
- 43.25°, intensity 100, (1 1 1)
- 45.82°, intensity 29, (0 0 2)
- 48.46°, intensity 22, (2 0 1)
- 64.16°, intensity 17, (2 0 2)
- 70.32°, intensity 21, (3 0 1)

Cell and atoms:
Cell: 4.9276 4.9276 3.9607 Å, 90.00 90.00 120.00°
Space group P6/mmm (No. 191)
Inequivalent atoms, fractional coordinates:
Y1 0.0000 0.0000 0.0000
Co1 0.0000 0.5000 0.5000
Co2 0.3333 0.6667 0.0000

# 3
# Y8Co5
Theoretical PXRD pattern, Cu Kα (weighted mean of Kα1 and Kα2). Input: a crystal structure in the Materials Project, relaxed with PBE.

Most intense lines, 10 to 80 degrees two-theta, low angle first:
- 30.69°, intensity 45, (2 0 -6)
- 31.17°, intensity 100, (2 1 2)
- 32.83°, intensity 51, (0 1 8)
- 33.80°, intensity 48, (0 2 6)
- 34.39°, intensity 47, (1 1 7)
- 36.88°, intensity 62, (1 2 -7)
- 40.32°, intensity 86, (1 3 1)
- 53.05°, intensity 50, (1 4 1)

Cell and atoms:
Cell: 7.0400 7.1849 24.1392 Å, 90.00 102.26 90.00°
Space group P2_1/c (No. 14)
Inequivalent atoms, fractional coordinates:
Y1 0.0008 0.1864 0.1654
Y2 0.1406 0.0222 0.5646
Y3 0.1821 0.6878 0.1963
Y4 0.2135 0.1648 0.9413
Y5 0.3118 0.1843 0.7976
Y6 0.3156 0.5403 0.5849
Y7 0.3556 0.6828 0.9629
Y8 0.4696 0.6667 0.8227
Co1 0.0260 0.6461 0.4832
Co2 0.0945 0.5275 0.7654
Co3 0.1673 0.0328 0.3679
Co4 0.3602 0.0308 0.2177
Co5 0.4905 0.1178 0.4043

# 4
# YCo
Theoretical PXRD pattern, Cu Kα (weighted mean of Kα1 and Kα2). Input: a crystal structure in the Materials Project, relaxed with PBE.

Most intense lines, 10 to 80 degrees two-theta, low angle first:
- 28.80°, intensity 19, (0 2 1)
- 33.04°, intensity 100, (1 1 1)
- 34.21°, intensity 68, (1 3 0)
- 41.56°, intensity 50, (1 3 1)
- 42.16°, intensity 31, (0 4 1)
- 44.52°, intensity 29, (2 0 0)
- 46.76°, intensity 25, (0 0 2)
- 59.20°, intensity 26, (1 3 2)

Cell and atoms:
Cell: 4.0703 10.2796 3.8854 Å, 90.00 90.00 90.00°
Space group Cmcm (No. 63)
Inequivalent atoms, fractional coordinates:
Y1 0.0000 0.1442 0.2500
Co1 0.0000 0.4441 0.2500